# 1
Computed X-ray powder pattern
Compound: FePH2O5
Radiation: Cu Kα X-rays
Structure: a structure optimized by DFT (GGA+U)
Peak positions follow from Bragg's law for the DFT cell and can differ from measured ones.

Peak list (6 most intense, 10° ≤ 2θ ≤ 90°, in order of rising 2θ)
2theta  I (rel.)  index
18.34  36.9  1 1 0
18.74  70.9  1 1 -1
25.75  100.0  1 1 1
25.97  28.2  0 2 1
30.29  33.3  2 0 -2
34.62  60.5  0 2 2

Structure:
a = 6.682 Å, b = 7.931 Å, c = 7.494 Å
α = 90.00°, β = 114.00°, γ = 90.00°
Space group C2/c (No. 15)
Symmetry-distinct sites (fractional):
Fe  0.250  0.250  0.000 x4
P  0.000  0.078  0.250 x4
H  0.095  0.460  0.704 x8
O  0.000  0.385  0.750 x4
O  0.030  0.188  0.094 x8
O  0.208  0.036  0.845 x8

---

# 2
Computed X-ray powder pattern
Compound: Zn2FeP2H8O12
Radiation: Cu Kα X-rays
Structure: a structure optimized by DFT (GGA+U)
Peak positions follow from Bragg's law for the DFT cell and can differ from measured ones.

Peak list (6 most intense, 10° ≤ 2θ ≤ 90°, in order of rising 2θ)
2theta  I (rel.)  index
19.72  100.0  2 0 0
25.63  59.8  1 0 2
26.07  58.3  2 1 -2
31.08  84.1  1 1 2
31.38  82.3  3 1 -2
34.17  43.8  3 1 -3

Structure:
a = 10.431 Å, b = 5.132 Å, c = 10.722 Å
α = 90.00°, β = 120.13°, γ = 90.00°
Space group P2_1/c (No. 14)
Symmetry-distinct sites (fractional):
Zn  0.000  0.196  0.146 x4
Fe  0.500  0.000  0.000 x2
P  0.190  0.717  0.190 x4
H  0.261  0.108  0.033 x4
H  0.335  0.118  0.525 x4
H  0.443  0.041  0.339 x4
H  0.447  0.707  0.196 x4
O  0.090  0.647  0.744 x4
O  0.148  0.070  0.655 x4
O  0.160  0.628  0.553 x4
O  0.320  0.198  0.996 x4
O  0.357  0.742  0.303 x4
O  0.480  0.682  0.124 x4

---

# 3
Computed X-ray powder pattern
Compound: FeH2PbO4
Radiation: Cu Kα X-rays
Structure: a structure optimized by DFT (GGA+U)
Peak positions follow from Bragg's law for the DFT cell and can differ from measured ones.

Peak list (6 most intense, 10° ≤ 2θ ≤ 90°, in order of rising 2θ)
2theta  I (rel.)  index
19.89  32.9  0 1 1
23.54  38.3  1 0 1
24.47  100.0  1 1 0
26.63  30.9  0 0 2
29.82  38.0  0 2 0
36.48  83.8  1 1 2

Structure:
a = 4.578 Å, b = 5.992 Å, c = 6.695 Å
α = 90.00°, β = 90.00°, γ = 90.00°
Space group I222 (No. 23)
Symmetry-distinct sites (fractional):
Fe  0.000  0.000  0.000 x2
H  0.000  0.500  0.329 x4
Pb  0.000  0.000  0.500 x2
O  0.227  0.391  0.325 x8